For Ag3PdF6, a crystal structure in Alexandria, relaxed with PBE gives the theoretical PXRD pattern in this record (a wavelength of 1.5418 Å).
Peak positions follow from Bragg's law for the DFT cell and can differ from measured ones.

Structure:
a = 5.8828 Å, b = 6.1425 Å, c = 10.1668 Å
α = 90.00°, β = 123.20°, γ = 90.00°
Sites, in units of the cell vectors:
Ag 0.0000 0.0000 0.0000
Ag 0.0000 0.5000 0.5000
Ag 0.2168 0.0590 0.7429
Ag 0.2168 0.4410 0.2429
Ag 0.7832 0.5590 0.7571
Ag 0.7832 0.9410 0.2571
Pd 0.5000 0.0000 0.5000
Pd 0.5000 0.5000 0.0000
F 0.1771 0.1787 0.4571
F 0.1771 0.3213 0.9571
F 0.2223 0.7124 0.4124
F 0.2223 0.7876 0.9124
F 0.4062 0.0643 0.2794
F 0.4062 0.4357 0.7794
F 0.5938 0.5643 0.2206
F 0.5938 0.9357 0.7206
F 0.7777 0.2124 0.0876
F 0.7777 0.2876 0.5876
F 0.8229 0.6787 0.0429
F 0.8229 0.8213 0.5429

Peak list (6 most intense, 10° ≤ 2θ ≤ 90°, in order of rising 2θ)
| Position (°2θ) | I (rel.) |
| --- | --- |
| 29.1 | 39 |
| 29.3 | 100 |
| 30.1 | 88 |
| 30.4 | 37 |
| 42.5 | 63 |
| 52.9 | 22 |



For Ag4Pd6F19, a crystal structure in Alexandria, relaxed with PBE gives the theoretical PXRD pattern in this record (a wavelength of 1.5418 Å).
Peak positions follow from Bragg's law for the DFT cell and can differ from measured ones.

Structure:
a = 8.4511 Å, b = 8.4511 Å, c = 8.4511 Å
α = 109.47°, β = 109.47°, γ = 109.47°
Sites, in units of the cell vectors:
Ag 0.0000 0.0000 0.7191
Ag 0.0000 0.7191 0.0000
Ag 0.2809 0.2809 0.2809
Ag 0.7191 0.0000 0.0000
Pd 0.1620 0.6620 0.5000
Pd 0.3380 0.5000 0.8380
Pd 0.5000 0.1620 0.6620
Pd 0.5000 0.8380 0.3380
Pd 0.6620 0.5000 0.1620
Pd 0.8380 0.3380 0.5000
F 0.0000 0.0000 0.0000
F 0.0000 0.3448 0.3448
F 0.0000 0.6552 0.6552
F 0.0352 0.2994 0.6818
F 0.2642 0.9648 0.6466
F 0.2994 0.6818 0.0352
F 0.3182 0.6176 0.3534
F 0.3448 0.0000 0.3448
F 0.3448 0.3448 0.0000
F 0.3534 0.3182 0.6176
F 0.3824 0.7006 0.7358
F 0.6176 0.3534 0.3182
F 0.6466 0.2642 0.9648
F 0.6552 0.0000 0.6552
F 0.6552 0.6552 0.0000
F 0.6818 0.0352 0.2994
F 0.7006 0.7358 0.3824
F 0.7358 0.3824 0.7006
F 0.9648 0.6466 0.2642

Peak list (6 most intense, 10° ≤ 2θ ≤ 90°, in order of rising 2θ)
| Position (°2θ) | I (rel.) |
| --- | --- |
| 18.2 | 27 |
| 22.3 | 59 |
| 28.9 | 100 |
| 34.4 | 59 |
| 47.5 | 61 |
| 56.6 | 31 |